[1]
This entry pairs a crystal structure of CrN2 with its simulated powder X-ray diffraction pattern. Radiation: Cu Kα (λ = 1.5418 Å). Structure: a cell relaxed with GGA-PBE.

Structure:
```
CrN2
1.0
8.137 0.000 0.000
0.000 8.137 0.000
0.000 0.000 9.312
Cr N
12 24
Direct
0.089 0.089 0.000
0.120 0.677 0.003
0.177 0.380 0.253
0.323 0.880 0.497
0.380 0.177 0.747
0.411 0.589 0.750
0.589 0.411 0.250
0.620 0.823 0.247
0.677 0.120 0.997
0.823 0.620 0.753
0.880 0.323 0.503
0.911 0.911 0.500
0.052 0.369 0.406
0.115 0.885 0.043
0.115 0.885 0.457
0.131 0.552 0.156
0.139 0.212 0.146
0.212 0.139 0.854
0.288 0.639 0.896
0.361 0.712 0.604
0.369 0.052 0.594
0.385 0.385 0.293
0.385 0.385 0.707
0.448 0.869 0.344
0.552 0.131 0.844
0.615 0.615 0.207
0.615 0.615 0.793
0.631 0.948 0.094
0.639 0.288 0.104
0.712 0.361 0.396
0.788 0.861 0.354
0.861 0.788 0.646
0.869 0.448 0.656
0.885 0.115 0.543
0.885 0.115 0.957
0.948 0.631 0.906
```

Main lines, low angle first (10 to 90 degrees two-theta):
18.1°, intensity 13
22.0°, intensity 41
23.9°, intensity 100
24.6°, intensity 22
26.3°, intensity 17
36.7°, intensity 16
44.6°, intensity 11
60.2°, intensity 11

[2]
This entry pairs a crystal structure of MgTi2Al4O10 with its simulated powder X-ray diffraction pattern. Radiation: Cu Kα (λ = 1.5418 Å). Structure: a cell relaxed with GGA-PBE.

Structure:
```
MgTi2Al4O10
1.0
3.562 0.000 0.000
-1.780 5.043 0.000
-0.017 -2.129 10.284
Mg Ti Al O
1 2 4 10
Direct
0.000 0.000 0.000
0.382 0.755 0.428
0.668 0.337 0.860
0.317 0.634 0.088
0.366 0.734 0.707
0.650 0.299 0.256
0.656 0.315 0.552
0.174 0.348 0.934
0.216 0.431 0.215
0.223 0.450 0.558
0.470 0.941 0.867
0.498 0.999 0.614
0.505 0.009 0.121
0.559 0.120 0.386
0.786 0.574 0.724
0.812 0.624 0.040
0.816 0.628 0.387
```

Main lines, low angle first (10 to 90 degrees two-theta):
26.6°, intensity 100
27.4°, intensity 50
28.5°, intensity 79
34.8°, intensity 74
40.5°, intensity 51
45.9°, intensity 37
51.3°, intensity 63
58.9°, intensity 33

[3]
This entry pairs a crystal structure of Sn4Au with its simulated powder X-ray diffraction pattern. Radiation: Cu Kα (λ = 1.5418 Å). Structure: a cell relaxed with GGA-PBE.

Structure:
```
Sn4Au
1.0
3.341 -5.936 0.000
3.341 5.936 0.000
0.000 0.000 6.658
Sn Au
8 2
Direct
0.037 0.284 0.083
0.216 0.463 0.583
0.284 0.037 0.583
0.463 0.216 0.083
0.537 0.784 0.917
0.716 0.963 0.417
0.784 0.537 0.417
0.963 0.716 0.917
0.250 0.750 0.250
0.750 0.250 0.750
```

Main lines, low angle first (10 to 90 degrees two-theta):
14.9°, intensity 42
29.5°, intensity 83
30.8°, intensity 35
30.9°, intensity 55
33.6°, intensity 100
40.7°, intensity 74
43.5°, intensity 46
43.6°, intensity 49

[4]
This entry pairs a crystal structure of CeNiGe with its simulated powder X-ray diffraction pattern. Radiation: Cu Kα (λ = 1.5418 Å). Structure: a cell relaxed with GGA-PBE.

Structure:
```
CeNiGe
1.0
7.202 0.000 0.000
0.000 4.306 0.000
0.000 0.000 7.208
Ce Ni Ge
4 4 4
Direct
0.012 0.250 0.209
0.488 0.750 0.709
0.512 0.250 0.291
0.988 0.750 0.791
0.202 0.750 0.420
0.298 0.250 0.920
0.702 0.750 0.080
0.798 0.250 0.580
0.198 0.250 0.590
0.302 0.750 0.090
0.698 0.250 0.910
0.802 0.750 0.410
```

Main lines, low angle first (10 to 90 degrees two-theta):
34.8°, intensity 100
35.2°, intensity 31
39.6°, intensity 19
42.0°, intensity 24
43.1°, intensity 33
55.9°, intensity 16
59.0°, intensity 12
68.7°, intensity 18

Q: Number 2 is which compound?
A: MgTi2Al4O10